Entry 1:
Computed X-ray powder pattern
Compound: K2SiBiS4
Radiation: Cu Kα X-rays
Structure: a cell relaxed with PBE

Most intense lines, 5 to 70 degrees two-theta, by angle:
2θ (°), d [Å], I_rel, index
16.17, 5.480, 100.0, 1 0 1
16.31, 5.435, 29.5, 1 1 0
22.76, 3.908, 19.7, 0 0 2
23.14, 3.843, 48.4, 2 0 0
28.13, 3.173, 93.6, 1 1 2
28.37, 3.146, 56.0, 1 2 1
32.96, 2.717, 35.6, 2 2 0
36.96, 2.432, 42.8, 1 3 0
43.87, 2.064, 63.1, 1 3 2
52.54, 1.742, 20.4, 2 0 4

Crystal structure
a b c (Å): 7.686 7.686 7.816
angles (deg): 90.00 90.00 90.00
Space group I-4 (No. 82)
Inequivalent atoms, fractional coordinates:
K: 0.000 0.000 0.000 (multiplicity 2)
K: 0.000 0.500 0.250 (multiplicity 2)
Si: 0.000 0.000 0.500 (multiplicity 2)
Bi: 0.000 0.500 0.750 (multiplicity 2)
S: 0.150 0.824 0.655 (multiplicity 8)

Entry 2:
Computed X-ray powder pattern
Compound: K3Sm3BiS8
Radiation: Cu Kα X-rays
Structure: a cell relaxed with PBE

Most intense lines, 5 to 70 degrees two-theta, by angle:
2θ (°), d [Å], I_rel, index
11.79, 7.508, 100.0, 0 0 3
25.37, 3.510, 34.9, 0 2 1
26.30, 3.389, 33.1, 2 0 2
29.73, 3.005, 99.4, 0 2 4
37.71, 2.385, 24.7, 0 2 7
40.89, 2.207, 36.0, 2 0 8
44.14, 2.052, 33.6, 2 2 0
45.85, 1.979, 21.8, 2 2 3
51.54, 1.773, 17.4, 2 0 11
54.13, 1.694, 17.3, 4 0 4

Crystal structure
a b c (Å): 8.2065 8.2065 22.5238
angles (deg): 90.00 90.00 120.00
Space group R-3m (No. 166, hexagonal axes)
Inequivalent atoms, fractional coordinates:
K: 0.0000 0.5000 0.0000 (multiplicity 9)
Sm: 0.0000 0.5000 0.5000 (multiplicity 9)
Bi: 0.0000 0.0000 0.5000 (multiplicity 3)
S: 0.0000 0.0000 0.2343 (multiplicity 6)
S: 0.0065 0.5032 0.2338 (multiplicity 18)

Entry 3:
Computed X-ray powder pattern
Compound: KSn2BiS6
Radiation: Cu Kα X-rays
Structure: a cell relaxed with PBE

Most intense lines, 5 to 70 degrees two-theta, by angle:
2θ (°), d [Å], I_rel, index
14.11, 6.277, 100.0, 1 1 -1
20.47, 4.339, 22.8, 0 2 1
20.76, 4.278, 49.8, 2 2 0
25.16, 3.539, 13.1, 0 0 2
26.12, 3.412, 16.5, 4 0 0
26.29, 3.389, 13.8, 3 1 -2
28.41, 3.142, 36.1, 3 1 1
30.74, 2.908, 27.5, 3 3 -1
32.66, 2.742, 25.2, 4 2 -2
35.24, 2.547, 18.6, 2 4 0

Crystal structure
a b c (Å): 14.870 10.982 7.717
angles (deg): 90.00 113.41 90.00
Space group C2/c (No. 15)
Inequivalent atoms, fractional coordinates:
K: 0.000 0.237 0.250 (multiplicity 4)
Sn: 0.241 0.406 0.115 (multiplicity 8)
Bi: 0.000 0.240 0.750 (multiplicity 4)
S: 0.094 0.080 0.634 (multiplicity 8)
S: 0.149 0.481 0.325 (multiplicity 8)
S: 0.163 0.206 0.094 (multiplicity 8)

Entry 4:
Computed X-ray powder pattern
Compound: K2Tm2BiS6
Radiation: Cu Kα X-rays
Structure: a cell relaxed with PBE

Most intense lines, 5 to 70 degrees two-theta, by angle:
2θ (°), d [Å], I_rel, index
11.64, 7.605, 100.0, 0 0 1
23.39, 3.802, 15.8, 0 0 2
26.18, 3.404, 21.3, 1 3 0
27.10, 3.290, 28.0, 2 0 0
30.29, 2.950, 51.9, 1 3 1
30.52, 2.929, 25.3, 2 0 -2
37.96, 2.370, 15.6, 1 3 2
41.18, 2.192, 19.3, 1 3 -3
45.79, 1.981, 16.7, 3 3 -1
55.89, 1.645, 13.1, 2 6 -2

Crystal structure
a b c (Å): 6.856 11.934 7.926
angles (deg): 90.00 106.38 90.00
Space group C2/m (No. 12)
Inequivalent atoms, fractional coordinates:
K: 0.000 0.165 0.000 (multiplicity 4)
Tm: 0.000 0.333 0.500 (multiplicity 4)
Bi: 0.000 0.000 0.500 (multiplicity 2)
S: 0.227 0.500 0.697 (multiplicity 4)
S: 0.233 0.170 0.697 (multiplicity 8)

Entry 5:
Computed X-ray powder pattern
Compound: KBiSb2
Radiation: Cu Kα X-rays
Structure: a cell relaxed with PBE

Most intense lines, 5 to 70 degrees two-theta, by angle:
2θ (°), d [Å], I_rel, index
17.34, 5.115, 100.0, 1 1 -1
25.18, 3.537, 36.4, 1 1 2
27.12, 3.288, 42.1, 2 0 -2
28.52, 3.129, 33.1, 1 1 -3
32.35, 2.768, 52.1, 1 1 3
32.92, 2.720, 44.4, 2 2 0
35.25, 2.546, 34.3, 1 3 0
38.38, 2.345, 41.5, 1 3 -2
38.56, 2.335, 31.5, 2 0 -4
41.07, 2.198, 30.1, 0 2 4

Crystal structure
a b c (Å): 7.439 8.138 10.617
angles (deg): 90.00 100.43 90.00
Space group Cc (No. 9)
Inequivalent atoms, fractional coordinates:
K: 0.000 0.231 0.000 (multiplicity 4)
Bi: 0.431 0.191 0.858 (multiplicity 4)
Sb: 0.063 0.195 0.640 (multiplicity 4)
Sb: 0.245 0.498 0.741 (multiplicity 4)

Entry 6:
Computed X-ray powder pattern
Compound: K2Sn5Bi2Sb2
Radiation: Cu Kα X-rays
Structure: a cell relaxed with PBE

Most intense lines, 5 to 70 degrees two-theta, by angle:
2θ (°), d [Å], I_rel, index
10.39, 8.516, 100.0, 0 0 4
18.21, 4.873, 75.7, 1 0 3
21.01, 4.229, 35.9, 1 0 5
25.59, 3.481, 31.7, 1 1 4
28.82, 3.098, 40.9, 1 0 9
31.49, 2.841, 73.6, 1 1 8
33.22, 2.697, 83.1, 2 0 0
35.33, 2.541, 31.3, 1 1 10
38.15, 2.359, 39.4, 1 0 13
39.59, 2.277, 67.5, 1 1 12

Crystal structure
a b c (Å): 5.395 5.395 34.063
angles (deg): 90.00 90.00 90.00
Space group I4/mmm (No. 139)
Inequivalent atoms, fractional coordinates:
K: 0.000 0.000 0.210 (multiplicity 4)
Sn: 0.000 0.000 0.000 (multiplicity 2)
Sn: 0.000 0.500 0.130 (multiplicity 8)
Bi: 0.000 0.000 0.320 (multiplicity 4)
Sb: 0.000 0.000 0.088 (multiplicity 4)

Entry 7:
Computed X-ray powder pattern
Compound: K2Bi8Se13
Radiation: Cu Kα X-rays
Structure: a cell relaxed with PBE

Most intense lines, 5 to 70 degrees two-theta, by angle:
2θ (°), d [Å], I_rel, index
6.71, 13.179, 61.9, 1 0 -1
14.79, 5.989, 52.4, 1 0 -3
24.76, 3.596, 33.9, 4 0 3
27.35, 3.260, 51.5, 3 1 -2
28.67, 3.113, 42.3, 1 0 -6
29.03, 3.075, 43.1, 4 1 0
29.29, 3.049, 40.7, 3 1 -3
29.52, 3.026, 100.0, 4 1 1
42.69, 2.118, 69.1, 0 2 0
42.91, 2.108, 32.8, 3 1 7

Crystal structure
a b c (Å): 17.902 4.235 18.880
angles (deg): 90.00 91.68 90.00
Space group P2_1/m (No. 11)
Inequivalent atoms, fractional coordinates:
K: 0.011 0.250 0.349 (multiplicity 2)
K: 0.249 0.750 0.729 (multiplicity 2)
Bi: 0.006 0.750 0.100 (multiplicity 2)
Bi: 0.164 0.250 0.535 (multiplicity 2)
Bi: 0.192 0.750 0.947 (multiplicity 2)
Bi: 0.230 0.250 0.205 (multiplicity 2)
Bi: 0.334 0.750 0.380 (multiplicity 2)
Bi: 0.390 0.250 0.980 (multiplicity 2)
Bi: 0.420 0.250 0.572 (multiplicity 2)
Bi: 0.487 0.250 0.242 (multiplicity 2)
Se: 0.068 0.750 0.830 (multiplicity 2)
Se: 0.074 0.750 0.488 (multiplicity 2)
Se: 0.102 0.250 0.021 (multiplicity 2)
Se: 0.125 0.750 0.218 (multiplicity 2)
Se: 0.129 0.250 0.668 (multiplicity 2)
Se: 0.226 0.250 0.352 (multiplicity 2)
Se: 0.271 0.250 0.873 (multiplicity 2)
Se: 0.309 0.750 0.054 (multiplicity 2)
Se: 0.314 0.750 0.548 (multiplicity 2)
Se: 0.364 0.750 0.234 (multiplicity 2)
Se: 0.406 0.250 0.722 (multiplicity 2)
Se: 0.455 0.250 0.407 (multiplicity 2)
Se: 0.481 0.750 0.906 (multiplicity 2)

Entry 8:
Computed X-ray powder pattern
Compound: K2BiSe2
Radiation: Cu Kα X-rays
Structure: a cell relaxed with PBE

Most intense lines, 5 to 70 degrees two-theta, by angle:
2θ (°), d [Å], I_rel, index
15.25, 5.812, 59.9, 1 1 0
19.30, 4.600, 79.8, 0 0 1
24.68, 3.607, 98.3, 1 1 1
30.77, 2.906, 44.9, 2 2 0
31.15, 2.871, 78.7, 2 1 1
34.51, 2.599, 100.0, 3 1 0
36.58, 2.457, 55.8, 2 2 1
39.17, 2.300, 33.7, 0 0 2
39.84, 2.263, 71.8, 3 1 1
53.18, 1.722, 57.9, 3 1 2

Crystal structure
a b c (Å): 8.219 8.219 4.600
angles (deg): 90.00 90.00 90.00
Space group P4/mbm (No. 127)
Inequivalent atoms, fractional coordinates:
K: 0.136 0.364 0.000 (multiplicity 4)
Bi: 0.000 0.000 0.500 (multiplicity 2)
Se: 0.175 0.675 0.500 (multiplicity 4)

Entry 9:
Computed X-ray powder pattern
Compound: KBi4Se6
Radiation: Cu Kα X-rays
Structure: a cell relaxed with PBE

Most intense lines, 5 to 70 degrees two-theta, by angle:
2θ (°), d [Å], I_rel, index
8.12, 10.885, 99.1, 0 0 2
24.08, 3.695, 97.3, 0 2 5
27.99, 3.188, 77.1, 1 3 1
28.90, 3.090, 100.0, 1 3 2
30.35, 2.945, 93.4, 1 3 3
39.31, 2.292, 44.9, 1 1 8
40.42, 2.232, 56.2, 2 0 0
41.58, 2.172, 59.5, 1 5 4
43.02, 2.102, 46.2, 1 1 9
43.50, 2.080, 50.2, 1 5 5

Crystal structure
a b c (Å): 4.463 13.972 21.770
angles (deg): 90.00 90.00 90.00
Space group Cmcm (No. 63)
Inequivalent atoms, fractional coordinates:
K: 0.000 0.153 0.250 (multiplicity 4)
Bi: 0.000 0.095 0.635 (multiplicity 8)
Bi: 0.000 0.364 0.541 (multiplicity 8)
Se: 0.000 0.000 0.000 (multiplicity 4)
Se: 0.000 0.179 0.750 (multiplicity 4)
Se: 0.000 0.260 0.083 (multiplicity 8)
Se: 0.000 0.469 0.657 (multiplicity 8)

Entry 10:
Computed X-ray powder pattern
Compound: K2Bi8Se13
Radiation: Cu Kα X-rays
Structure: a cell relaxed with PBE

Most intense lines, 5 to 70 degrees two-theta, by angle:
2θ (°), d [Å], I_rel, index
7.14, 12.375, 57.2, 0 0 1
9.35, 9.462, 28.1, 2 0 -1
15.39, 5.756, 35.9, 2 0 -2
24.44, 3.642, 30.0, 3 1 1
24.62, 3.616, 27.6, 6 0 2
27.34, 3.262, 43.6, 5 1 -1
29.75, 3.003, 35.3, 6 0 3
29.92, 2.987, 100.0, 5 1 -2
36.29, 2.475, 31.2, 1 1 4
42.76, 2.115, 40.7, 11 1 1

Crystal structure
a b c (Å): 27.732 4.216 12.390
angles (deg): 90.00 92.82 90.00
Space group C2/m (No. 12)
Inequivalent atoms, fractional coordinates:
K: 0.088 0.000 0.055 (multiplicity 4)
Bi: 0.058 0.000 0.382 (multiplicity 4)
Bi: 0.075 0.500 0.704 (multiplicity 4)
Bi: 0.188 0.500 0.457 (multiplicity 4)
Bi: 0.217 0.000 0.870 (multiplicity 4)
Se: 0.000 0.500 0.500 (multiplicity 2)
Se: 0.019 0.000 0.798 (multiplicity 4)
Se: 0.109 0.500 0.277 (multiplicity 4)
Se: 0.129 0.000 0.572 (multiplicity 4)
Se: 0.140 0.500 0.884 (multiplicity 4)
Se: 0.210 0.000 0.090 (multiplicity 4)
Se: 0.243 0.000 0.358 (multiplicity 4)

Entry 11:
Computed X-ray powder pattern
Compound: K2SiBi
Radiation: Cu Kα X-rays
Structure: a cell relaxed with PBE

Most intense lines, 5 to 70 degrees two-theta, by angle:
2θ (°), d [Å], I_rel, index
8.55, 10.339, 100.0, 1 0 0
17.15, 5.169, 10.0, 2 0 0
25.35, 3.513, 7.7, 2 1 -2
25.85, 3.446, 11.4, 3 0 0
27.27, 3.270, 8.0, 0 2 1
27.51, 3.242, 13.2, 1 2 -1
28.11, 3.175, 8.5, 1 1 2
30.38, 2.942, 15.0, 2 2 -1
33.85, 2.648, 19.3, 4 0 -2
35.29, 2.543, 7.8, 3 2 -1

Crystal structure
a b c (Å): 11.001 7.076 9.118
angles (deg): 90.00 109.97 90.00
Space group P2_1/c (No. 14)
Inequivalent atoms, fractional coordinates:
K: 0.190 0.220 0.115 (multiplicity 4)
K: 0.238 0.724 0.326 (multiplicity 4)
Si: 0.417 0.111 0.487 (multiplicity 4)
Bi: 0.484 0.605 0.677 (multiplicity 4)